Theoretical XRD peak list of ScSn2Pd3 for λ = 1.5418 Å (Cu Kα), from a structure optimized by DFT (GGA-PBE).
Lines closer than 0.1° are merged.

The 8 most intense peaks (2θ from 10° to 90°), sorted by position:
(hkl), two_theta, I (rel.)
2 0 0, 37.6, 27.3
0 6 0, 38.0, 26.0
1 3 2, 38.4, 100.0
2 6 0, 54.5, 18.2
3 3 2, 68.4, 18.2
1 9 2, 68.9, 17.4
2 0 4, 69.7, 8.1
2 6 4, 82.3, 10.3

Structure:
abc: 4.787 14.208 6.528
angles: 90.00 90.00 90.00
Space group Cmmm (No. 65)
Symmetry-distinct sites (fractional):
1 Sc 0.000 0.163 0.000 (multiplicity 4)
2 Sn 0.000 0.168 0.500 (multiplicity 4)
3 Sn 0.000 0.500 0.000 (multiplicity 2)
4 Sn 0.000 0.500 0.500 (multiplicity 2)
5 Pd 0.000 0.000 0.239 (multiplicity 4)
6 Pd 0.000 0.328 0.231 (multiplicity 8)